1.
Diffraction record for Mn2CrB4. The XRD peak list is computed, not measured: it uses the GGA-PBE geometry in Alexandria and Cu Kα (λ = 1.5418 Å).
No peak broadening, texture or thermal motion is included.

Main lines, low angle first (2θ = 10–80°):
2θ (°), d (Å), I (rel.)
30.93, 2.892, 40
37.15, 2.420, 89
42.74, 2.116, 28
45.64, 1.988, 100
47.09, 1.930, 59
52.36, 1.747, 15
59.86, 1.545, 13
62.56, 1.485, 16
63.00, 1.475, 16
75.09, 1.265, 38

```
Mn2CrB4
1.0
-1.4754 1.4848 6.3470
1.4754 -1.4848 6.3470
1.4754 1.4848 -6.3470
Mn Cr B
2 1 4
direct
0.1853 0.1853 0.0000
0.8147 0.8147 0.0000
0.0000 0.5000 0.5000
0.3562 0.3562 0.0000
0.4320 0.9320 0.5000
0.5680 0.0680 0.5000
0.6438 0.6438 0.0000
```



2.
Diffraction record for MnCrB4. The XRD peak list is computed, not measured: it uses the GGA-PBE geometry in Alexandria and Cu Kα (λ = 1.5418 Å).
No peak broadening, texture or thermal motion is included.

Main lines, low angle first (2θ = 10–80°):
2θ (°), d (Å), I (rel.)
16.37, 5.414, 33
29.60, 3.018, 77
31.23, 2.864, 74
33.09, 2.707, 51
39.29, 2.293, 70
41.88, 2.157, 31
43.56, 2.077, 91
44.99, 2.015, 69
47.66, 1.908, 33
49.95, 1.826, 100

```
MnCrB4
1.0
5.9396 0.0000 0.0000
0.0000 10.8275 0.0000
0.0000 0.0000 3.0181
Mn Cr B
4 4 16
direct
0.1393 0.0849 0.0000
0.3607 0.5849 0.0000
0.6393 0.4151 0.0000
0.8607 0.9151 0.0000
0.0927 0.3682 0.0000
0.4073 0.8682 0.0000
0.5927 0.1318 0.0000
0.9073 0.6318 0.0000
0.0117 0.2064 0.5000
0.1186 0.9404 0.5000
0.1323 0.5262 0.5000
0.1929 0.6897 0.5000
0.3071 0.1897 0.5000
0.3677 0.0262 0.5000
0.3814 0.4404 0.5000
0.4883 0.7064 0.5000
0.5117 0.2936 0.5000
0.6186 0.5596 0.5000
0.6323 0.9738 0.5000
0.6929 0.8103 0.5000
0.8071 0.3103 0.5000
0.8677 0.4738 0.5000
0.8814 0.0596 0.5000
0.9883 0.7936 0.5000
```